Calculated powder diffraction line list of Th4Ga2Co for Cu Kα (λ = 1.5418 Å), from a cell relaxed with GGA-PBE.

Main lines, in order of falling intensity (2θ from 15° to 90°):
2θ/deg, d_spacing, I_rel, index
30.6, 2.924, 100, 2 2 -2
24.2, 3.673, 36, 2 2 0
34.4, 2.605, 33, 0 4 0
28.8, 3.103, 22, 2 0 1
27.2, 3.278, 16, 3 1 0
45.0, 2.013, 16, 1 3 2
33.6, 2.666, 15, 2 2 1
45.5, 1.995, 14, 2 4 1
59.3, 1.559, 13, 2 6 -2
46.8, 1.943, 13, 4 4 -2
50.0, 1.824, 12, 0 2 3
46.7, 1.945, 12, 0 4 2

abc: 12.5379 10.4191 7.0725
angles: 90.00 124.28 90.00
Space group C2/m (No. 12)
Unique sites:
Th (0.0488, 0.2361, 0.2989) (multiplicity 8)
Th (0.2016, 0.5000, 0.1784) (multiplicity 4)
Th (0.2018, 0.5000, 0.7249) (multiplicity 4)
Ga (0.0000, 0.0000, 0.0000) (multiplicity 2)
Ga (0.0000, 0.0000, 0.5000) (multiplicity 2)
Ga (0.2500, 0.2500, 0.0000) (multiplicity 4)
Co (0.0255, 0.5000, 0.2757) (multiplicity 4)